# 1
The following is a calculated XRD peak list of Li7Mn5O12. It was derived from a crystal structure in the Materials Project, relaxed with GGA+U, using Cu Kα, 1.54184 Å.
No peak broadening, texture or thermal motion is included.

Main lines, in order of rising 2θ (2θ = 15–90°):
Position (°2θ), Rel. int.
18.3, 100.0
34.1, 15.9
36.4, 23.5
40.9, 34.4
44.3, 55.2
46.9, 8.4
58.4, 9.0
61.9, 16.2
62.0, 15.9
64.0, 11.9

Structural model:
```
Li7Mn5O12
1.0
6.019 0.000 0.000
1.454 6.321 0.000
2.555 1.480 5.806
Li Mn O
7 5 12
Direct
0.000 0.000 0.000
0.080 0.321 0.162
0.277 0.001 0.483
0.427 0.672 0.821
0.609 0.322 0.158
0.739 0.996 0.510
0.908 0.669 0.848
0.178 0.664 0.326
0.327 0.325 0.675
0.503 0.997 0.998
0.685 0.663 0.325
0.838 0.327 0.670
0.017 0.661 0.118
0.173 0.978 0.228
0.223 0.341 0.424
0.334 0.651 0.551
0.384 0.004 0.760
0.445 0.313 0.919
0.562 0.679 0.082
0.626 0.978 0.242
0.723 0.347 0.416
0.788 0.656 0.570
0.834 0.010 0.771
0.953 0.338 0.898
```

# 2
The following is a calculated XRD peak list of Sr7CaTi5Mn3O24. It was derived from a crystal structure in the Materials Project, relaxed with GGA+U, using Cu Kα, 1.54184 Å.
No peak broadening, texture or thermal motion is included.

Main lines, in order of rising 2θ (2θ = 15–90°):
Position (°2θ), Rel. int.
32.3, 50.6
32.4, 100.0
39.9, 26.7
46.3, 42.1
46.6, 20.4
57.6, 37.6
57.8, 18.4
67.5, 11.9
67.8, 23.4
76.9, 16.1

Structural model:
```
Sr7CaTi5Mn3O24
1.0
5.549 -5.550 0.000
5.549 5.550 0.000
-0.002 0.000 7.794
Sr Ca Ti Mn O
7 1 5 3 24
Direct
0.000 0.000 0.000
0.000 0.000 0.491
0.000 0.497 0.000
0.000 0.497 0.491
0.497 0.000 0.000
0.497 0.000 0.491
0.497 0.497 0.490
0.496 0.496 0.001
0.249 0.249 0.746
0.249 0.748 0.746
0.747 0.747 0.244
0.748 0.249 0.746
0.748 0.748 0.746
0.249 0.249 0.245
0.249 0.748 0.245
0.748 0.249 0.245
0.001 0.748 0.245
0.249 0.249 0.493
0.249 0.748 0.493
0.249 0.997 0.245
0.249 0.998 0.746
0.250 0.498 0.747
0.250 0.746 0.998
0.251 0.251 0.998
0.251 0.499 0.242
0.496 0.746 0.243
0.498 0.250 0.747
0.498 0.746 0.747
0.499 0.251 0.242
0.746 0.250 0.998
0.746 0.496 0.243
0.746 0.498 0.747
0.747 0.747 0.996
0.748 0.001 0.245
0.748 0.249 0.493
0.748 0.748 0.495
0.748 0.998 0.746
0.997 0.249 0.245
0.998 0.249 0.746
0.998 0.748 0.746
```

# 3
The following is a calculated XRD peak list of V4O3F9. It was derived from a crystal structure in the Materials Project, relaxed with GGA+U, using Cu Kα, 1.54184 Å.
No peak broadening, texture or thermal motion is included.

Main lines, in order of rising 2θ (2θ = 15–90°):
Position (°2θ), Rel. int.
23.5, 100.0
23.9, 50.7
33.2, 12.8
39.7, 16.5
40.1, 7.3
48.1, 10.9
48.2, 10.8
48.9, 9.7
53.5, 11.9
54.2, 9.9

Structural model:
```
V4O3F9
1.0
5.225 0.000 0.000
2.573 4.744 0.000
2.424 -1.234 17.215
V O F
8 6 18
Direct
0.000 0.000 0.000
0.016 0.517 0.500
0.231 0.357 0.123
0.252 0.881 0.629
0.495 0.240 0.748
0.527 0.715 0.243
0.738 0.601 0.867
0.756 0.141 0.369
0.139 0.184 0.040
0.156 0.697 0.541
0.326 0.030 0.702
0.667 0.451 0.794
0.704 0.415 0.314
0.817 0.567 0.170
0.169 0.395 0.836
0.178 0.899 0.332
0.210 0.665 0.057
0.220 0.170 0.556
0.265 0.561 0.686
0.274 0.041 0.188
0.317 0.833 0.910
0.320 0.524 0.210
0.331 0.317 0.413
0.657 0.135 0.084
0.667 0.642 0.582
0.670 0.945 0.289
0.727 0.920 0.811
0.759 0.307 0.938
0.790 0.809 0.433
0.822 0.083 0.661
0.826 0.777 0.955
0.836 0.285 0.459
```

# 4
The following is a calculated XRD peak list of AlV2O4. It was derived from a crystal structure in the Materials Project, relaxed with GGA+U, using Cu Kα, 1.54184 Å.
No peak broadening, texture or thermal motion is included.

Main lines, in order of rising 2θ (2θ = 15–90°):
Position (°2θ), Rel. int.
18.3, 82.1
34.9, 68.3
35.1, 66.3
35.3, 66.3
35.5, 66.9
35.6, 100.0
42.4, 75.0
43.1, 70.9
43.5, 68.4
62.9, 74.6

Structural model:
```
AlV2O4
1.0
5.955 0.000 0.000
0.088 6.012 0.000
0.026 0.019 8.324
Al V O
4 8 16
Direct
0.003 0.248 0.130
0.497 0.750 0.627
0.503 0.250 0.373
0.997 0.752 0.870
0.000 0.000 0.500
0.000 0.500 0.500
0.244 0.252 0.747
0.259 0.748 0.244
0.500 0.000 0.000
0.500 0.500 0.000
0.741 0.252 0.756
0.756 0.748 0.253
0.005 0.001 0.254
0.008 0.496 0.251
0.245 0.247 0.493
0.250 0.751 0.501
0.251 0.754 0.991
0.252 0.245 0.004
0.492 0.504 0.750
0.496 0.994 0.754
0.504 0.006 0.246
0.508 0.496 0.250
0.748 0.755 0.996
0.749 0.246 0.009
0.750 0.249 0.499
0.755 0.753 0.507
0.992 0.504 0.749
0.995 0.999 0.746
```

# 5
The following is a calculated XRD peak list of MgZn2Fe4O8. It was derived from a crystal structure in the Materials Project, relaxed with GGA+U, using Cu Kα, 1.54184 Å.
No peak broadening, texture or thermal motion is included.

Main lines, in order of rising 2θ (2θ = 15–90°):
Position (°2θ), Rel. int.
29.8, 37.3
32.9, 15.8
33.6, 28.3
34.3, 100.0
35.0, 42.7
41.4, 44.6
41.5, 20.3
55.9, 19.5
58.3, 23.5
61.9, 46.6

Structural model:
```
MgZn2Fe4O8
1.0
5.187 -2.998 0.000
5.187 2.998 0.000
-3.474 0.000 5.337
Mg Zn Fe O
1 2 4 8
Direct
0.000 0.000 0.000
0.500 0.500 0.000
0.500 0.500 0.500
0.000 0.500 0.000
0.149 0.149 0.460
0.500 0.000 0.000
0.851 0.851 0.540
0.233 0.745 0.236
0.240 0.240 0.228
0.255 0.767 0.764
0.270 0.270 0.818
0.730 0.730 0.182
0.745 0.233 0.236
0.760 0.760 0.772
0.767 0.255 0.764
```

# 6
The following is a calculated XRD peak list of Li3Mn3SiO8. It was derived from a crystal structure in the Materials Project, relaxed with GGA+U, using Cu Kα, 1.54184 Å.
No peak broadening, texture or thermal motion is included.

Main lines, in order of rising 2θ (2θ = 15–90°):
Position (°2θ), Rel. int.
18.1, 100.0
34.0, 18.1
36.7, 20.7
37.9, 6.4
41.1, 26.2
44.3, 42.6
47.4, 7.7
58.0, 10.1
61.8, 12.0
62.3, 12.0

Structural model:
```
Li3Mn3SiO8
1.0
5.274 0.000 0.000
0.000 5.645 0.000
-1.992 0.000 4.938
Li Mn Si O
3 3 1 8
Direct
0.000 0.000 0.000
0.000 0.259 0.500
0.000 0.741 0.500
0.500 0.000 0.500
0.500 0.252 0.000
0.500 0.748 0.000
0.500 0.500 0.500
0.264 0.000 0.788
0.282 0.266 0.300
0.282 0.734 0.300
0.310 0.500 0.734
0.690 0.500 0.266
0.718 0.266 0.700
0.718 0.734 0.700
0.736 0.000 0.212
```